(1)
This entry pairs a crystal structure of NdSn6Se8 with its simulated powder diffractogram. Radiation: Cu Kα. Structure: the PBE geometry in Alexandria.
Neutral-atom scattering factors, no anomalous dispersion.

Structural model:
Lattice parameters (Å, degrees): 10.150 10.150 5.372 90.00 90.00 120.00
Positions (direct):
Nd1 0.000 0.000 0.000
Sn1 0.101 0.426 0.839
Sn2 0.325 0.899 0.839
Sn3 0.426 0.325 0.161
Sn4 0.574 0.675 0.839
Sn5 0.675 0.101 0.161
Sn6 0.899 0.574 0.161
Se1 0.020 0.748 0.737
Se2 0.252 0.272 0.737
Se3 0.272 0.020 0.263
Se4 0.333 0.667 0.107
Se5 0.667 0.333 0.893
Se6 0.728 0.980 0.737
Se7 0.748 0.728 0.263
Se8 0.980 0.252 0.263

Main lines, in order of rising 2θ (2θ from 10° to 80°):
| two_theta | intensity |
| --- | --- |
| 16.50 | 39 |
| 26.20 | 31 |
| 26.83 | 35 |
| 30.51 | 29 |
| 31.67 | 100 |
| 37.90 | 32 |
| 39.30 | 18 |
| 43.32 | 22 |
| 47.39 | 23 |
| 48.20 | 35 |
| 50.53 | 17 |
| 58.55 | 16 |

(2)
This entry pairs a crystal structure of NdSnSe3 with its simulated powder diffractogram. Radiation: Cu Kα. Structure: the PBE geometry in Alexandria.
Neutral-atom scattering factors, no anomalous dispersion.

Structural model:
Lattice parameters (Å, degrees): 7.306 4.809 9.973 90.00 100.97 90.00
Positions (direct):
Nd1 0.210 0.250 0.422
Nd2 0.790 0.750 0.578
Sn1 0.379 0.250 0.863
Sn2 0.621 0.750 0.137
Se1 0.029 0.250 0.654
Se2 0.278 0.750 0.946
Se3 0.459 0.750 0.355
Se4 0.541 0.250 0.645
Se5 0.722 0.250 0.054
Se6 0.971 0.750 0.346

Main lines, in order of rising 2θ (2θ from 10° to 80°):
| two_theta | intensity |
| --- | --- |
| 13.85 | 46 |
| 19.92 | 85 |
| 20.58 | 43 |
| 22.26 | 42 |
| 23.14 | 93 |
| 23.88 | 68 |
| 33.59 | 49 |
| 33.81 | 100 |
| 37.40 | 76 |
| 38.44 | 91 |
| 41.62 | 48 |
| 50.31 | 48 |

(3)
This entry pairs a crystal structure of NdSnSe4 with its simulated powder diffractogram. Radiation: Cu Kα. Structure: the PBE geometry in Alexandria.
Neutral-atom scattering factors, no anomalous dispersion.

Structural model:
Lattice parameters (Å, degrees): 5.951 9.617 7.608 90.00 112.36 90.00
Positions (direct):
Nd1 0.095 0.250 0.201
Nd2 0.905 0.750 0.799
Sn1 0.123 0.750 0.385
Sn2 0.877 0.250 0.615
Se1 0.176 0.559 0.134
Se2 0.176 0.941 0.134
Se3 0.306 0.250 0.616
Se4 0.373 0.750 0.748
Se5 0.627 0.250 0.252
Se6 0.694 0.750 0.384
Se7 0.824 0.059 0.866
Se8 0.824 0.441 0.866

Main lines, in order of rising 2θ (2θ from 10° to 80°):
| two_theta | intensity |
| --- | --- |
| 16.10 | 54 |
| 16.24 | 43 |
| 18.45 | 100 |
| 22.39 | 47 |
| 26.99 | 42 |
| 30.03 | 55 |
| 30.65 | 27 |
| 35.48 | 53 |
| 37.40 | 34 |
| 37.96 | 82 |
| 39.44 | 27 |
| 39.56 | 44 |

(4)
This entry pairs a crystal structure of SrNd4Se6 with its simulated powder diffractogram. Radiation: Cu Kα. Structure: the PBE geometry in Alexandria.
Neutral-atom scattering factors, no anomalous dispersion.

Structural model:
Lattice parameters (Å, degrees): 7.292 7.292 21.656 90.00 90.00 146.31
Positions (direct):
Sr1 0.159 0.841 0.750
Sr2 0.841 0.159 0.250
Nd1 0.093 0.907 0.130
Nd2 0.093 0.907 0.370
Nd3 0.362 0.638 0.040
Nd4 0.362 0.638 0.460
Nd5 0.638 0.362 0.540
Nd6 0.638 0.362 0.960
Nd7 0.907 0.093 0.630
Nd8 0.907 0.093 0.870
Se1 0.000 0.000 0.000
Se2 0.000 0.000 0.500
Se3 0.182 0.818 0.250
Se4 0.270 0.730 0.588
Se5 0.270 0.730 0.912
Se6 0.454 0.546 0.164
Se7 0.454 0.546 0.336
Se8 0.546 0.454 0.664
Se9 0.546 0.454 0.836
Se10 0.730 0.270 0.088
Se11 0.730 0.270 0.412
Se12 0.818 0.182 0.750

Main lines, in order of rising 2θ (2θ from 10° to 80°):
| two_theta | intensity |
| --- | --- |
| 24.18 | 49 |
| 27.83 | 46 |
| 28.83 | 57 |
| 29.73 | 100 |
| 31.16 | 69 |
| 31.63 | 36 |
| 40.08 | 44 |
| 42.25 | 72 |
| 42.79 | 41 |
| 43.77 | 26 |
| 44.17 | 44 |
| 61.72 | 24 |

(5)
This entry pairs a crystal structure of Sr3Nd4Se8 with its simulated powder diffractogram. Radiation: Cu Kα. Structure: the PBE geometry in Alexandria.
Neutral-atom scattering factors, no anomalous dispersion.

Structural model:
Lattice parameters (Å, degrees): 8.612 8.612 8.571 119.65 119.65 90.15
Positions (direct):
Sr1 0.000 0.000 0.000
Sr2 0.000 0.500 0.000
Sr3 0.500 0.000 0.000
Nd1 0.000 0.500 0.500
Nd2 0.500 0.000 0.500
Nd3 0.500 0.500 0.000
Nd4 0.500 0.500 0.500
Se1 0.253 0.747 0.000
Se2 0.254 0.746 0.500
Se3 0.256 0.256 0.508
Se4 0.263 0.263 0.014
Se5 0.737 0.737 0.986
Se6 0.744 0.744 0.492
Se7 0.746 0.254 0.500
Se8 0.747 0.253 0.000

Main lines, in order of rising 2θ (2θ from 10° to 80°):
| two_theta | intensity |
| --- | --- |
| 12.52 | 17 |
| 29.25 | 100 |
| 29.37 | 49 |
| 41.62 | 19 |
| 41.84 | 37 |
| 41.96 | 37 |
| 42.17 | 18 |
| 51.71 | 20 |
| 52.18 | 20 |
| 68.64 | 13 |
| 68.86 | 17 |
| 69.06 | 12 |

(6)
This entry pairs a crystal structure of Sr4NdY3Se8 with its simulated powder diffractogram. Radiation: Cu Kα. Structure: the PBE geometry in Alexandria.
Neutral-atom scattering factors, no anomalous dispersion.

Structural model:
Lattice parameters (Å, degrees): 8.608 8.608 8.608 58.86 58.86 58.86
Positions (direct):
Sr1 0.000 0.000 0.000
Sr2 0.000 0.500 0.500
Sr3 0.500 0.000 0.500
Sr4 0.500 0.500 0.000
Nd1 0.500 0.500 0.500
Y1 0.000 0.000 0.500
Y2 0.000 0.500 0.000
Y3 0.500 0.000 0.000
Se1 0.239 0.748 0.748
Se2 0.244 0.244 0.244
Se3 0.252 0.252 0.761
Se4 0.252 0.761 0.252
Se5 0.748 0.239 0.748
Se6 0.748 0.748 0.239
Se7 0.756 0.756 0.756
Se8 0.761 0.252 0.252

Main lines, in order of rising 2θ (2θ from 10° to 80°):
| two_theta | intensity |
| --- | --- |
| 12.49 | 2 |
| 29.61 | 100 |
| 41.99 | 37 |
| 42.76 | 36 |
| 51.57 | 6 |
| 52.87 | 19 |
| 61.48 | 12 |
| 69.16 | 16 |
| 70.25 | 16 |
| 76.20 | 6 |
| 77.78 | 12 |
| 78.30 | 6 |

(7)
This entry pairs a crystal structure of Tb3Nd2Se6 with its simulated powder diffractogram. Radiation: Cu Kα. Structure: the PBE geometry in Alexandria.
Neutral-atom scattering factors, no anomalous dispersion.

Structural model:
Lattice parameters (Å, degrees): 7.146 7.146 7.188 99.56 99.56 119.77
Positions (direct):
Tb1 0.000 0.000 0.000
Tb2 0.335 0.665 0.000
Tb3 0.665 0.335 0.000
Nd1 0.165 0.835 0.500
Nd2 0.835 0.165 0.500
Se1 0.086 0.414 0.242
Se2 0.259 0.259 0.754
Se3 0.414 0.086 0.242
Se4 0.586 0.914 0.758
Se5 0.741 0.741 0.246
Se6 0.914 0.586 0.758

Main lines, in order of rising 2θ (2θ from 10° to 80°):
| two_theta | intensity |
| --- | --- |
| 13.05 | 7 |
| 30.55 | 100 |
| 43.60 | 12 |
| 43.74 | 49 |
| 43.94 | 12 |
| 54.08 | 7 |
| 54.23 | 7 |
| 54.45 | 13 |
| 63.60 | 12 |
| 71.97 | 6 |
| 72.11 | 11 |
| 72.23 | 11 |

(8)
This entry pairs a crystal structure of Tb4NdSe6 with its simulated powder diffractogram. Radiation: Cu Kα. Structure: the PBE geometry in Alexandria.
Neutral-atom scattering factors, no anomalous dispersion.

Structural model:
Lattice parameters (Å, degrees): 7.031 7.031 20.906 90.00 90.00 146.56
Positions (direct):
Tb1 0.090 0.910 0.626
Tb2 0.090 0.910 0.874
Tb3 0.360 0.640 0.538
Tb4 0.360 0.640 0.962
Tb5 0.640 0.360 0.038
Tb6 0.640 0.360 0.462
Tb7 0.910 0.090 0.126
Tb8 0.910 0.090 0.374
Nd1 0.154 0.846 0.250
Nd2 0.846 0.154 0.750
Se1 0.000 0.000 0.000
Se2 0.000 0.000 0.500
Se3 0.184 0.816 0.750
Se4 0.268 0.732 0.091
Se5 0.268 0.732 0.409
Se6 0.450 0.550 0.665
Se7 0.450 0.550 0.835
Se8 0.550 0.450 0.165
Se9 0.550 0.450 0.335
Se10 0.732 0.268 0.591
Se11 0.732 0.268 0.909
Se12 0.816 0.184 0.250

Main lines, in order of rising 2θ (2θ from 10° to 80°):
| two_theta | intensity |
| --- | --- |
| 25.07 | 52 |
| 28.85 | 35 |
| 30.04 | 45 |
| 30.96 | 100 |
| 32.44 | 66 |
| 32.80 | 32 |
| 41.69 | 42 |
| 43.92 | 67 |
| 44.80 | 38 |
| 45.91 | 32 |
| 64.52 | 20 |
| 77.63 | 23 |